Theoretical PXRD pattern
Compound: NaCd3Au4
Radiation: Cu Kα (λ = 1.5418 Å)
Structure: a structure optimized by DFT (GGA-PBE)
Neutral-atom scattering factors, no anomalous dispersion.

Principal peaks in the range 2θ from 15° to 90°, most intense first:
2.320 Å, I = 100; 2.490 Å, I = 41; 1.403 Å, I = 23; 2.480 Å, I = 23; 3.570 Å, I = 21; 2.536 Å, I = 21; 1.301 Å, I = 16; 2.561 Å, I = 13; 2.028 Å, I = 13; 2.058 Å, I = 12

```
16
Lattice="9.959 0.000 0.000 0.000 6.105 0.000 0.000 0.000 5.122" Properties=species:S:1:pos:R:3 pbc="T T T"
Na 0.000 0.000 0.000
Na 4.980 0.000 0.000
Cd 0.000 3.053 0.000
Cd 2.490 0.000 2.001
Cd 2.490 3.053 1.983
Cd 4.980 3.053 0.000
Cd 7.469 0.000 3.121
Cd 7.469 3.053 3.139
Au 0.000 1.535 2.561
Au 0.000 4.570 2.561
Au 2.490 1.538 4.533
Au 2.490 4.568 4.533
Au 4.980 1.535 2.561
Au 4.980 4.570 2.561
Au 7.469 1.538 0.589
Au 7.469 4.568 0.589
```